No. 1
For Mg4Te3S, a crystal structure in the Materials Project, relaxed with GGA-PBE gives the theoretical powder diffractogram in this record (Cu Kα (λ = 1.5418 Å)).
Intensities are scaled so that the largest is 100.

```
data_Mg4Te3S
_chemical_formula_sum 'Mg4 Te3 S1'
_cell_length_a 4.4592
_cell_length_b 8.9838
_cell_length_c 6.2523
_cell_angle_alpha 90.00
_cell_angle_beta 90.00
_cell_angle_gamma 90.00
_space_group_name_H-M_alt 'P m m 2'
_space_group_IT_number 25
_space_group_name_Hall 'P 2 -2'
loop_
_atom_site_label
_atom_site_type_symbol
_atom_site_fract_x
_atom_site_fract_y
_atom_site_fract_z
_atom_site_occupancy
Mg1 Mg 0.0000 0.0000 0.0000 1
Mg2 Mg 0.0000 0.5000 0.0484 1
Mg3 Mg 0.5000 0.2742 0.4898 1
Te1 Te 0.0000 0.2615 0.7588 1
Te2 Te 0.5000 0.0000 0.2657 1
S1 S 0.5000 0.5000 0.2556 1
```

Main lines, in order of falling intensity (15° ≤ 2θ ≤ 90°):
| 2theta | I_rel | hkl |
| --- | --- | --- |
| 24.52 | 100 | 1 0 1 |
| 24.40 | 98 | 0 2 1 |
| 40.56 | 72 | 1 2 2 |
| 28.20 | 36 | 1 2 0 |
| 47.81 | 31 | 2 2 1 |
| 47.61 | 30 | 1 4 1 |



No. 2
For PuPa3, a crystal structure in the Materials Project, relaxed with GGA-PBE gives the theoretical powder diffractogram in this record (Cu Kα (λ = 1.5418 Å)).
Intensities are scaled so that the largest is 100.

```
data_PuPa3
_chemical_formula_sum 'Pu2 Pa6'
_cell_length_a 4.5201
_cell_length_b 4.5201
_cell_length_c 9.1768
_cell_angle_alpha 90.00
_cell_angle_beta 90.00
_cell_angle_gamma 90.00
_space_group_name_H-M_alt 'I 4/m m m'
_space_group_IT_number 139
_space_group_name_Hall '-I 4 2'
loop_
_atom_site_label
_atom_site_type_symbol
_atom_site_fract_x
_atom_site_fract_y
_atom_site_fract_z
_atom_site_occupancy
Pu1 Pu 0.0000 0.0000 0.0000 1
Pa1 Pa 0.0000 0.0000 0.5000 1
Pa2 Pa 0.0000 0.5000 0.2500 1
```

Main lines, in order of falling intensity (15° ≤ 2θ ≤ 90°):
| 2theta | I_rel | hkl |
| --- | --- | --- |
| 34.19 | 100 | 1 1 2 |
| 39.89 | 33 | 2 0 0 |
| 68.79 | 28 | 3 1 2 |
| 57.22 | 24 | 2 0 4 |
| 39.27 | 17 | 0 0 4 |
| 67.94 | 14 | 1 1 6 |



No. 3
For HfNb, a crystal structure in the Materials Project, relaxed with GGA-PBE gives the theoretical powder diffractogram in this record (Cu Kα (λ = 1.5418 Å)).
Intensities are scaled so that the largest is 100.

```
data_HfNb
_chemical_formula_sum 'Hf2 Nb2'
_cell_length_a 3.4495
_cell_length_b 4.8577
_cell_length_c 4.8026
_cell_angle_alpha 90.00
_cell_angle_beta 90.00
_cell_angle_gamma 90.00
_space_group_name_H-M_alt 'C m m m'
_space_group_IT_number 65
_space_group_name_Hall '-C 2 2'
loop_
_atom_site_label
_atom_site_type_symbol
_atom_site_fract_x
_atom_site_fract_y
_atom_site_fract_z
_atom_site_occupancy
Hf1 Hf 0.0000 0.0000 0.0000 1
Nb1 Nb 0.0000 0.5000 0.5000 1
```

Main lines, in order of falling intensity (15° ≤ 2θ ≤ 90°):
| 2theta | I_rel | hkl |
| --- | --- | --- |
| 37.04 | 100 | 1 1 1 |
| 66.74 | 21 | 2 0 2 |
| 37.45 | 19 | 0 0 2 |
| 67.30 | 14 | 1 1 3 |
| 53.67 | 14 | 0 2 2 |
| 78.87 | 11 | 2 2 2 |